No. 1
# LiAlSiO4
Calculated powder diffractogram, Cu Ka. Input: DFT lattice parameters and positions (GGA-PBE).
Lines closer than 0.1° are merged.

Unit cell a=5.2963 b=5.2963 c=11.4506 alpha=90.00 beta=90.00 gamma=120.00
Fractional positions:
Li1 0.0000 0.0000 0.0000
Li2 0.0000 0.0000 0.3333
Li3 0.0000 0.0000 0.6667
Al1 0.0000 0.5000 0.1667
Al2 0.5000 0.0000 0.5000
Al3 0.5000 0.5000 0.8333
Si1 0.0000 0.5000 0.6667
Si2 0.5000 0.0000 0.0000
Si3 0.5000 0.5000 0.3333
O1 0.1942 0.4001 0.7445
O2 0.1942 0.7941 0.5889
O3 0.2059 0.4001 0.2555
O4 0.2059 0.8058 0.0778
O5 0.4001 0.1942 0.9222
O6 0.4001 0.2059 0.4111
O7 0.5999 0.7941 0.4111
O8 0.5999 0.8058 0.9222
O9 0.7941 0.1942 0.0778
O10 0.7941 0.5999 0.2555
O11 0.8058 0.2059 0.5889
O12 0.8058 0.5999 0.7445

Principal peaks in the range 10 to 80 degrees two-theta, low angle first:
d (Å), intensity
4.587, 8
3.580, 100
2.648, 4
1.944, 22
1.659, 10
1.467, 11
1.349, 4
1.324, 4
1.259, 4
1.242, 6

=====

No. 2
# Pm2MgCu6
Calculated powder diffractogram, Cu Ka. Input: DFT lattice parameters and positions (GGA-PBE).
Lines closer than 0.1° are merged.

Unit cell a=5.7188 b=5.7188 c=5.6450 alpha=90.04 beta=90.04 gamma=60.08
Fractional positions:
Pm1 0.1667 0.1667 0.3413
Pm2 0.8333 0.8333 0.6587
Mg1 0.5000 0.5000 0.5000
Cu1 0.1295 0.6852 0.1521
Cu2 0.3154 0.3154 0.8480
Cu3 0.3147 0.8705 0.8479
Cu4 0.6852 0.1295 0.1521
Cu5 0.6846 0.6846 0.1520
Cu6 0.8705 0.3147 0.8479

Principal peaks in the range 10 to 80 degrees two-theta, low angle first:
d (Å), intensity
4.955, 17
3.724, 18
2.552, 37
2.477, 27
2.452, 76
2.268, 100
1.777, 20
1.572, 19
1.560, 20
1.430, 20

=====

No. 3
# Rb4PdI6
Calculated powder diffractogram, Cu Ka. Input: DFT lattice parameters and positions (GGA-PBE).
Lines closer than 0.1° are merged.

Unit cell a=9.9679 b=9.9679 c=10.3486 alpha=90.00 beta=90.00 gamma=90.00
Fractional positions:
Rb1 0.1750 0.3250 0.2500
Rb2 0.1750 0.3250 0.7500
Rb3 0.3250 0.8250 0.2500
Rb4 0.3250 0.8250 0.7500
Rb5 0.6750 0.1750 0.2500
Rb6 0.6750 0.1750 0.7500
Rb7 0.8250 0.6750 0.2500
Rb8 0.8250 0.6750 0.7500
Pd1 0.0000 0.0000 0.0000
Pd2 0.5000 0.5000 0.5000
I1 0.0000 0.0000 0.2758
I2 0.0000 0.0000 0.7242
I3 0.0845 0.7130 0.0000
I4 0.2130 0.5845 0.5000
I5 0.2870 0.0845 0.0000
I6 0.4155 0.2130 0.5000
I7 0.5000 0.5000 0.2242
I8 0.5000 0.5000 0.7758
I9 0.5845 0.7870 0.5000
I10 0.7130 0.9155 0.0000
I11 0.7870 0.4155 0.5000
I12 0.9155 0.2870 0.0000

Principal peaks in the range 10 to 80 degrees two-theta, low angle first:
d (Å), intensity
7.179, 56
7.048, 19
3.377, 100
3.260, 25
3.152, 66
3.015, 32
2.913, 27
2.587, 30
2.229, 22
2.000, 30

=====

No. 4
# PmY12Co6
Calculated powder diffractogram, Cu Ka. Input: DFT lattice parameters and positions (GGA-PBE).
Lines closer than 0.1° are merged.

Unit cell a=8.5118 b=8.5118 c=8.5118 alpha=109.47 beta=109.47 gamma=109.47
Fractional positions:
Pm1 0.0000 0.0000 0.0000
Y1 0.1152 0.8062 0.3090
Y2 0.1938 0.3090 0.5029
Y3 0.1938 0.6910 0.8848
Y4 0.3090 0.1152 0.8062
Y5 0.3090 0.5029 0.1938
Y6 0.4971 0.8062 0.6910
Y7 0.5029 0.1938 0.3090
Y8 0.6910 0.4971 0.8062
Y9 0.6910 0.8848 0.1938
Y10 0.8062 0.3090 0.1152
Y11 0.8062 0.6910 0.4971
Y12 0.8848 0.1938 0.6910
Co1 0.1122 0.6122 0.5000
Co2 0.3878 0.5000 0.8878
Co3 0.5000 0.1122 0.6122
Co4 0.5000 0.8878 0.3878
Co5 0.6122 0.5000 0.1122
Co6 0.8878 0.3878 0.5000

Principal peaks in the range 10 to 80 degrees two-theta, low angle first:
d (Å), intensity
4.914, 11
3.108, 27
2.837, 46
2.627, 100
2.457, 18
1.928, 34
1.686, 27
1.638, 12
1.594, 29
1.390, 18

=====

No. 5
# NaCaGa2Ge2
Calculated powder diffractogram, Cu Ka. Input: DFT lattice parameters and positions (GGA-PBE).
Lines closer than 0.1° are merged.

Unit cell a=4.5610 b=4.5610 c=7.1202 alpha=90.00 beta=90.00 gamma=120.00
Fractional positions:
Na1 0.0000 0.0000 0.0000
Ca1 0.0000 0.0000 0.5000
Ga1 0.3333 0.6667 0.1754
Ga2 0.6667 0.3333 0.8246
Ge1 0.3333 0.6667 0.7596
Ge2 0.6667 0.3333 0.2404

Principal peaks in the range 10 to 80 degrees two-theta, low angle first:
d (Å), intensity
3.950, 21
3.560, 24
3.454, 16
2.644, 97
2.280, 100
2.034, 17
1.920, 26
1.727, 26
1.644, 19
1.377, 23

=====

Repeat the fourth record exactly.
# PmY12Co6
Calculated powder diffractogram, Cu Ka. Input: DFT lattice parameters and positions (GGA-PBE).
Lines closer than 0.1° are merged.

Unit cell a=8.5118 b=8.5118 c=8.5118 alpha=109.47 beta=109.47 gamma=109.47
Fractional positions:
Pm1 0.0000 0.0000 0.0000
Y1 0.1152 0.8062 0.3090
Y2 0.1938 0.3090 0.5029
Y3 0.1938 0.6910 0.8848
Y4 0.3090 0.1152 0.8062
Y5 0.3090 0.5029 0.1938
Y6 0.4971 0.8062 0.6910
Y7 0.5029 0.1938 0.3090
Y8 0.6910 0.4971 0.8062
Y9 0.6910 0.8848 0.1938
Y10 0.8062 0.3090 0.1152
Y11 0.8062 0.6910 0.4971
Y12 0.8848 0.1938 0.6910
Co1 0.1122 0.6122 0.5000
Co2 0.3878 0.5000 0.8878
Co3 0.5000 0.1122 0.6122
Co4 0.5000 0.8878 0.3878
Co5 0.6122 0.5000 0.1122
Co6 0.8878 0.3878 0.5000

Principal peaks in the range 10 to 80 degrees two-theta, low angle first:
d (Å), intensity
4.914, 11
3.108, 27
2.837, 46
2.627, 100
2.457, 18
1.928, 34
1.686, 27
1.638, 12
1.594, 29
1.390, 18